Starting from a crystal structure in Alexandria, relaxed with PBE, the X-ray diffraction stick pattern of Pr3Sm2Se6 was simulated for Cu Kα (λ = 1.5418 Å).
Kinematic intensities with the Lorentz-polarization factor, no thermal factor.

Largest 12 diffraction maxima, by angle, 2θ = 5–70°:
2θ/deg, d [Å], I (rel.), h k l
8.52, 10.374, 7, 0 0 6
12.80, 6.916, 6, 0 0 9
24.81, 3.589, 7, 1 0 4
28.89, 3.090, 100, 0 1 11
31.51, 2.839, 20, 0 1 14
40.17, 2.245, 19, 1 0 22
42.44, 2.130, 45, 1 1 0
43.87, 2.064, 23, 1 0 25
52.16, 1.754, 19, 2 0 11
52.96, 1.729, 6, 0 0 36
62.69, 1.482, 8, 0 2 25
69.43, 1.354, 16, 1 2 11

Crystal structure
Cell lengths 4.2594, 4.2594, 62.2441 Å; angles 90.00, 90.00, 120.00 degrees
Space group R-3m (No. 166, hexagonal axes)
Unique sites:
1 Pr 0.0000 0.0000 0.0000 [3 per cell]
2 Pr 0.0000 0.0000 0.2781 [6 per cell]
3 Sm 0.0000 0.0000 0.4481 [6 per cell]
4 Se 0.0000 0.0000 0.0846 [6 per cell]
5 Se 0.0000 0.0000 0.1963 [6 per cell]
6 Se 0.0000 0.0000 0.3613 [6 per cell]